# 1
# Sm2Mg3Zn3
Theoretical powder X-ray diffraction pattern, Cu Kα (weighted mean of Kα1 and Kα2). Input: DFT lattice parameters and positions (GGA-PBE).

Cell lengths 4.9599, 4.9599, 24.3737 Å; angles 90.00, 90.00, 120.00 degrees
Space group R3m (No. 160, hexagonal axes)
Asymmetric unit:
Sm1 0.0000 0.0000 0.0000 (multiplicity 3)
Sm2 0.0000 0.0000 0.4887 (multiplicity 3)
Mg1 0.0000 0.0000 0.2478 (multiplicity 3)
Mg2 0.0000 0.0000 0.7425 (multiplicity 3)
Mg3 0.0000 0.0000 0.8713 (multiplicity 3)
Zn1 0.0000 0.0000 0.1244 (multiplicity 3)
Zn2 0.0000 0.0000 0.3677 (multiplicity 3)
Zn3 0.0000 0.0000 0.6151 (multiplicity 3)

Principal peaks in the range 2θ = 10–80°, by angle:
Position (°2θ)  I_rel  hkl
21.92  43  0 0 6
36.18  100  1 1 0
42.70  16  1 1 6
42.75  6  2 0 2
52.10  17  2 0 8
57.25  5  1 2 2
64.95  7  1 0 16
65.12  26  3 0 0
69.60  5  3 0 6
76.88  5  2 2 0

---

# 2
# SmMg3Zn2
Theoretical powder X-ray diffraction pattern, Cu Kα (weighted mean of Kα1 and Kα2). Input: DFT lattice parameters and positions (GGA-PBE).

Cell lengths 16.4276, 4.5948, 7.9872 Å; angles 90.00, 118.63, 90.00 degrees
Space group C2/m (No. 12)
Asymmetric unit:
Sm1 0.1379 0.0000 0.0610 (multiplicity 4)
Mg1 0.0514 0.0000 0.3836 (multiplicity 4)
Mg2 0.1116 0.5000 0.7229 (multiplicity 4)
Mg3 0.1915 0.5000 0.4581 (multiplicity 4)
Zn1 0.0195 0.5000 0.1649 (multiplicity 4)
Zn2 0.2164 0.0000 0.7580 (multiplicity 4)

Principal peaks in the range 2θ = 10–80°, by angle:
Position (°2θ)  I_rel  hkl
12.63  100  0 0 1
25.59  45  4 0 -2
26.84  67  3 1 0
30.26  39  1 1 -2
33.46  95  3 1 1
33.60  32  5 1 -1
35.24  75  5 1 -2
39.21  49  0 2 0
41.05  45  1 1 -3
45.57  32  8 0 -1

---

# 3
# SmMg2Zn6
Theoretical powder X-ray diffraction pattern, Cu Kα (weighted mean of Kα1 and Kα2). Input: DFT lattice parameters and positions (GGA-PBE).

Cell lengths 7.8283, 7.8283, 3.2097 Å; angles 90.00, 90.00, 120.00 degrees
Space group P6/mmm (No. 191)
Asymmetric unit:
Sm1 0.0000 0.0000 0.0000 (multiplicity 1)
Mg1 0.3333 0.6667 0.0000 (multiplicity 2)
Zn1 0.0000 0.3392 0.5000 (multiplicity 6)

Principal peaks in the range 2θ = 10–80°, by angle:
Position (°2θ)  I_rel  hkl
13.06  43  1 0 0
26.29  13  2 0 0
30.82  16  1 0 1
36.19  100  1 1 1
39.89  87  3 0 0
49.32  12  3 0 1
54.95  29  2 2 1
70.03  27  4 1 1
72.20  28  3 0 2
72.44  14  3 3 0